(1)
This entry pairs a crystal structure of Li2V4Te9 with its calculated PXRD pattern. Radiation: Cu Kα X-rays. Structure: a structure optimized by DFT (GGA-PBE).

```
data_Li2V4Te9
_chemical_formula_sum 'Li4 V8 Te18'
_cell_length_a 6.8793
_cell_length_b 6.8793
_cell_length_c 18.2507
_cell_angle_alpha 90.00
_cell_angle_beta 90.00
_cell_angle_gamma 120.00
_space_group_name_H-M_alt 'P -3 c 1'
_space_group_IT_number 165
_space_group_name_Hall '-P 3 2"c'
loop_
_atom_site_label
_atom_site_type_symbol
_atom_site_fract_x
_atom_site_fract_y
_atom_site_fract_z
Li1 Li 0.0000 0.0000 0.1673
V1 V 0.3333 0.6667 0.3312
V2 V 0.3333 0.6667 0.4963
Te1 Te 0.0000 0.3550 0.2500
Te2 Te 0.0029 0.3438 0.5829
```

Most intense lines, 2θ = 10–90°, in order of rising 2θ:
| 2θ (°) | I (rel.) | h k l |
| --- | --- | --- |
| 29.36 | 15 | 0 0 6 |
| 29.84 | 100 | 1 1 3 |
| 39.55 | 29 | 1 1 6 |
| 45.68 | 28 | 3 0 0 |
| 52.38 | 21 | 1 1 9 |
| 55.53 | 17 | 2 2 3 |

---

(2)
This entry pairs a crystal structure of Li2YTe2 with its calculated PXRD pattern. Radiation: Cu Kα X-rays. Structure: a structure optimized by DFT (GGA-PBE).

```
data_Li2YTe2
_chemical_formula_sum 'Li4 Y2 Te4'
_cell_length_a 3.995
_cell_length_b 3.995
_cell_length_c 14.629
_cell_angle_alpha 90.00
_cell_angle_beta 90.00
_cell_angle_gamma 90.00
_space_group_name_H-M_alt 'I 4/m m m'
_space_group_IT_number 139
_space_group_name_Hall '-I 4 2'
loop_
_atom_site_label
_atom_site_type_symbol
_atom_site_fract_x
_atom_site_fract_y
_atom_site_fract_z
Li1 Li 0.000 0.500 0.250
Y1 Y 0.000 0.000 0.000
Te1 Te 0.000 0.000 0.381
```

Most intense lines, 2θ = 10–90°, in order of rising 2θ:
| 2θ (°) | I (rel.) | h k l |
| --- | --- | --- |
| 12.10 | 30 | 0 0 2 |
| 28.89 | 100 | 1 0 3 |
| 31.68 | 69 | 1 1 0 |
| 38.13 | 67 | 1 0 5 |
| 54.72 | 32 | 2 1 3 |
| 60.74 | 33 | 2 1 5 |

---

(3)
This entry pairs a crystal structure of LiZnTe with its calculated PXRD pattern. Radiation: Cu Kα X-rays. Structure: a structure optimized by DFT (GGA-PBE).

```
data_LiZnTe
_chemical_formula_sum 'Li4 Zn4 Te4'
_cell_length_a 4.037
_cell_length_b 5.281
_cell_length_c 12.544
_cell_angle_alpha 90.00
_cell_angle_beta 90.00
_cell_angle_gamma 90.00
_space_group_name_H-M_alt 'F m m 2'
_space_group_IT_number 42
_space_group_name_Hall 'F 2 -2'
loop_
_atom_site_label
_atom_site_type_symbol
_atom_site_fract_x
_atom_site_fract_y
_atom_site_fract_z
Li1 Li 0.000 0.000 0.000
Zn1 Zn 0.000 0.000 0.343
Te1 Te 0.000 0.000 0.666
```

Most intense lines, 2θ = 10–90°, in order of rising 2θ:
| 2θ (°) | I (rel.) | h k l |
| --- | --- | --- |
| 14.12 | 51 | 0 0 2 |
| 28.73 | 50 | 1 1 1 |
| 33.95 | 28 | 0 2 0 |
| 35.27 | 100 | 1 1 3 |
| 44.89 | 22 | 2 0 0 |
| 61.61 | 19 | 1 3 3 |

---

(4)
This entry pairs a crystal structure of LiTh5Tl5 with its calculated PXRD pattern. Radiation: Cu Kα X-rays. Structure: a structure optimized by DFT (GGA-PBE).

```
data_LiTh5Tl5
_chemical_formula_sum 'Li2 Th10 Tl10'
_cell_length_a 17.837
_cell_length_b 5.625
_cell_length_c 7.175
_cell_angle_alpha 90.00
_cell_angle_beta 113.66
_cell_angle_gamma 90.00
_space_group_name_H-M_alt 'C 1 2/m 1'
_space_group_IT_number 12
_space_group_name_Hall '-C 2y'
loop_
_atom_site_label
_atom_site_type_symbol
_atom_site_fract_x
_atom_site_fract_y
_atom_site_fract_z
Li1 Li 0.000 0.000 0.000
Th1 Th 0.000 0.000 0.500
Th2 Th 0.139 0.500 0.639
Th3 Th 0.199 0.500 0.199
Tl1 Tl 0.000 0.500 0.000
Tl2 Tl 0.151 0.000 0.367
Tl3 Tl 0.151 0.000 0.935
```

Most intense lines, 2θ = 10–90°, in order of rising 2θ:
| 2θ (°) | I (rel.) | h k l |
| --- | --- | --- |
| 29.76 | 78 | 5 1 -1 |
| 30.05 | 53 | 3 1 -2 |
| 31.82 | 61 | 0 2 0 |
| 32.89 | 27 | 6 0 0 |
| 33.90 | 100 | 1 1 2 |
| 46.42 | 21 | 6 2 0 |